1.
For Ba2Si3Ge5O18, a DFT-relaxed cell (GGA-PBE, Alexandria) gives the calculated powder XRD pattern in this record (a wavelength of 1.5418 Å).
Intensities are scaled so that the largest is 1000.

```
Ba2Si3Ge5O18
1.0
6.7732 0.0000 0.0000
-3.3866 5.8658 0.0000
0.0000 0.0000 9.8701
Ba Si Ge O
2 3 5 18
direct
0.0000 0.0000 0.2477
0.0000 0.0000 0.7523
0.4576 0.4151 0.0000
0.5849 0.0425 0.0000
0.9575 0.5424 0.0000
0.3333 0.6667 0.2416
0.3333 0.6667 0.7584
0.4509 0.0249 0.5000
0.5740 0.5491 0.5000
0.9751 0.4260 0.5000
0.0973 0.6666 0.1372
0.0973 0.6666 0.8628
0.1141 0.4226 0.3512
0.1141 0.4226 0.6488
0.3085 0.8859 0.3512
0.3085 0.8859 0.6488
0.3334 0.4307 0.1372
0.3334 0.4307 0.8628
0.3833 0.2507 0.5000
0.4109 0.1485 0.0000
0.5693 0.9027 0.1372
0.5693 0.9027 0.8628
0.5774 0.6915 0.3512
0.5774 0.6915 0.6488
0.7375 0.5891 0.0000
0.7493 0.1326 0.5000
0.8515 0.2625 0.0000
0.8674 0.6167 0.5000
```

The 10 most intense peaks (2θ = 10–80°), sorted by position:
2theta	I (rel.)
15.10	198
23.56	964
27.85	188
30.48	369
32.05	1000
36.41	167
48.20	227
50.19	168
59.86	157
62.80	154

2.
For BaSn2GeO8, a DFT-relaxed cell (GGA-PBE, Alexandria) gives the calculated powder XRD pattern in this record (a wavelength of 1.5418 Å).
Intensities are scaled so that the largest is 1000.

```
BaSn2GeO8
1.0
4.6171 0.0000 0.0000
-0.1450 4.6755 0.0000
-0.0529 -0.4233 7.9455
Ba Sn Ge O
1 2 1 8
direct
0.0000 0.0000 0.0000
0.4972 0.5186 0.6872
0.5028 0.4814 0.3128
0.0000 0.0000 0.5000
0.1848 0.1769 0.3108
0.1932 0.2088 0.7034
0.2870 0.7158 0.4983
0.4922 0.3690 0.0495
0.5078 0.6310 0.9505
0.7130 0.2842 0.5017
0.8068 0.7912 0.2966
0.8152 0.8231 0.6892
```

The 10 most intense peaks (2θ = 10–80°), sorted by position:
2theta	I (rel.)
26.73	1000
27.60	729
28.72	341
29.55	304
29.80	301
30.31	319
33.85	218
39.04	264
48.82	245
49.53	206

3.
For Ba3Sr3GeO8, a DFT-relaxed cell (GGA-PBE, Alexandria) gives the calculated powder XRD pattern in this record (a wavelength of 1.5418 Å).
Intensities are scaled so that the largest is 1000.

```
Ba3Sr3GeO8
1.0
3.6542 2.1098 6.1891
-3.6542 2.1098 6.1891
0.0000 -4.2196 6.1891
Ba Sr Ge O
3 3 1 8
direct
0.0000 0.5000 0.5000
0.5000 0.0000 0.5000
0.5000 0.5000 0.0000
0.0000 0.0000 0.5000
0.0000 0.5000 0.0000
0.5000 0.0000 0.0000
0.5000 0.5000 0.5000
0.2433 0.2433 0.2433
0.2952 0.6961 0.6961
0.3039 0.3039 0.7048
0.3039 0.7048 0.3039
0.6961 0.2952 0.6961
0.6961 0.6961 0.2952
0.7048 0.3039 0.3039
0.7567 0.7567 0.7567
```

The 10 most intense peaks (2θ = 10–80°), sorted by position:
2theta	I (rel.)
14.79	256
16.95	149
28.85	292
29.83	779
34.29	1000
48.65	329
49.91	316
57.55	149
58.68	270
61.96	153